(1)
Starting from a DFT-relaxed cell (GGA-PBE, the Materials Project), the X-ray powder pattern of Ho2Ni17 was calculated for CuKα.

Peak list (6 most intense, 10° ≤ 2θ ≤ 90°, in order of rising 2θ)
hkl 1 1 2, 2θ = 31.08°, intensity 36; hkl 3 0 0, 2θ = 37.77°, intensity 42; hkl 2 0 3, 2θ = 42.17°, intensity 36; hkl 2 2 0, 2θ = 43.90°, intensity 61; hkl 3 0 2, 2θ = 44.21°, intensity 100; hkl 0 0 4, 2θ = 45.14°, intensity 32

Atomic structure:
Lattice parameters (Å, degrees): 8.2502 8.2502 8.0336 90.00 90.00 120.00
Space group P6_3/mmc (No. 194)
One atom of each set of equivalent atoms:
Ho 0.0000 0.0000 0.2500 x2
Ho 0.3333 0.6667 0.2500 x2
Ni 0.0000 0.5000 0.0000 x6
Ni 0.0406 0.3688 0.7500 x12
Ni 0.1656 0.3311 0.0191 x12
Ni 0.3333 0.6667 0.6015 x4

=====

(2)
Starting from a DFT-relaxed cell (GGA-PBE, the Materials Project), the X-ray powder pattern of Ho2Ni7 was calculated for CuKα.

Peak list (6 most intense, 10° ≤ 2θ ≤ 90°, in order of rising 2θ)
hkl 1 0 10, 2θ = 32.55°, intensity 43; hkl 0 1 11, 2θ = 34.54°, intensity 32; hkl 1 1 0, 2θ = 36.50°, intensity 49; hkl 0 2 1, 2θ = 42.47°, intensity 35; hkl 1 1 9, 2θ = 43.15°, intensity 100; hkl 3 0 9, 2θ = 70.28°, intensity 22

Atomic structure:
Lattice parameters (Å, degrees): 4.9236 4.9236 36.0064 90.00 90.00 120.00
Space group R-3m (No. 166, hexagonal axes)
One atom of each set of equivalent atoms:
Ho 0.0000 0.0000 0.0516 x6
Ho 0.0000 0.0000 0.1480 x6
Ni 0.0000 0.0000 0.2781 x6
Ni 0.0000 0.0000 0.3887 x6
Ni 0.0000 0.0000 0.5000 x3
Ni 0.0000 0.5000 0.0000 x9
Ni 0.0016 0.5008 0.8899 x18

=====

(3)
Starting from a DFT-relaxed cell (GGA-PBE, the Materials Project), the X-ray powder pattern of Ho3Ni2 was calculated for CuKα.

Peak list (6 most intense, 10° ≤ 2θ ≤ 90°, in order of rising 2θ)
hkl 0 1 5, 2θ = 31.06°, intensity 45; hkl 2 1 1, 2θ = 32.80°, intensity 74; hkl 0 0 6, 2θ = 34.33°, intensity 100; hkl 3 0 0, 2θ = 36.75°, intensity 43; hkl 3 -1 4, 2θ = 39.85°, intensity 55; hkl 1 1 6, 2θ = 40.62°, intensity 40

Atomic structure:
Lattice parameters (Å, degrees): 8.4709 8.4709 15.6510 90.00 90.00 120.00
Space group R-3 (No. 148, hexagonal axes)
One atom of each set of equivalent atoms:
Ho 0.0000 0.0000 0.0000 x3
Ho 0.0000 0.0000 0.2074 x6
Ho 0.0195 0.2557 0.5927 x18
Ni 0.0236 0.6035 0.5628 x18

=====

(4)
Starting from a DFT-relaxed cell (GGA-PBE, the Materials Project), the X-ray powder pattern of HoNi4P2 was calculated for CuKα.

Peak list (6 most intense, 10° ≤ 2θ ≤ 90°, in order of rising 2θ)
hkl 2 1 1, 2θ = 37.98°, intensity 100; hkl 3 1 0, 2θ = 40.50°, intensity 47; hkl 2 2 1, 2θ = 44.25°, intensity 22; hkl 3 1 1, 2θ = 48.06°, intensity 21; hkl 3 1 2, 2θ = 66.90°, intensity 20; hkl 5 0 1, 2θ = 72.00°, intensity 23

Atomic structure:
Lattice parameters (Å, degrees): 7.0437 7.0437 3.5942 90.00 90.00 90.00
Space group P4_2/mnm (No. 136)
One atom of each set of equivalent atoms:
Ho 0.0000 0.0000 0.0000 x2
Ni 0.0859 0.3375 0.5000 x8
P 0.2195 0.7805 0.5000 x4

=====

(5)
Starting from a DFT-relaxed cell (GGA-PBE, the Materials Project), the X-ray powder pattern of Ho2Ni12P7 was calculated for CuKα.

Peak list (6 most intense, 10° ≤ 2θ ≤ 90°, in order of rising 2θ)
hkl 1 0 1, 2θ = 26.79°, intensity 11; hkl 1 2 1, 2θ = 39.12°, intensity 100; hkl 0 0 2, 2θ = 49.57°, intensity 17; hkl 4 1 0, 2θ = 53.77°, intensity 17; hkl 2 3 1, 2θ = 57.17°, intensity 11; hkl 4 1 2, 2θ = 76.13°, intensity 14

Atomic structure:
Lattice parameters (Å, degrees): 9.0220 9.0220 3.6777 90.00 90.00 120.00
Space group P-6 (No. 174)
One atom of each set of equivalent atoms:
Ho 0.0000 0.0000 0.0000 x1
Ho 0.3333 0.6667 0.5000 x1
Ni 0.0396 0.7674 0.5000 x3
Ni 0.0974 0.3825 0.0000 x3
Ni 0.4517 0.2399 0.0000 x3
Ni 0.5145 0.0586 0.5000 x3
P 0.0721 0.6280 0.0000 x3
P 0.2591 0.0389 0.5000 x3
P 0.6667 0.3333 0.5000 x1

=====

(6)
Starting from a DFT-relaxed cell (GGA-PBE, the Materials Project), the X-ray powder pattern of Ho5Ni19P12 was calculated for CuKα.

Peak list (6 most intense, 10° ≤ 2θ ≤ 90°, in order of rising 2θ)
hkl 2 2 1, 2θ = 38.41°, intensity 100; hkl 3 1 1, 2θ = 39.40°, intensity 26; hkl 4 1 0, 2θ = 39.57°, intensity 21; hkl 0 0 2, 2θ = 48.83°, intensity 22; hkl 6 0 0, 2θ = 52.62°, intensity 18; hkl 6 0 2, 2θ = 74.61°, intensity 13

Atomic structure:
Lattice parameters (Å, degrees): 12.0511 12.0511 3.7299 90.00 90.00 120.00
Space group P-62m (No. 189)
One atom of each set of equivalent atoms:
Ho 0.0000 0.8122 0.0000 x3
Ho 0.3333 0.6667 0.5000 x2
Ni 0.0000 0.0000 0.5000 x1
Ni 0.0000 0.2846 0.0000 x3
Ni 0.0000 0.4470 0.5000 x3
Ni 0.1252 0.6398 0.0000 x6
Ni 0.1826 0.3800 0.5000 x6
P 0.0000 0.1782 0.5000 x3
P 0.0000 0.6326 0.5000 x3
P 0.1667 0.4794 0.0000 x6

=====

(7)
Starting from a DFT-relaxed cell (GGA-PBE, the Materials Project), the X-ray powder pattern of Ho12Ni6Pb was calculated for CuKα.

Peak list (6 most intense, 10° ≤ 2θ ≤ 90°, in order of rising 2θ)
hkl 3 0 1, 2θ = 29.16°, intensity 46; hkl 2 2 2, 2θ = 32.01°, intensity 41; hkl 3 1 2, 2θ = 34.66°, intensity 100; hkl 5 0 1, 2θ = 47.89°, intensity 22; hkl 5 3 0, 2θ = 55.31°, intensity 33; hkl 5 2 3, 2θ = 58.77°, intensity 37

Atomic structure:
Lattice parameters (Å, degrees): 9.6846 9.6846 9.6846 90.00 90.00 90.00
Space group Im-3 (No. 204)
One atom of each set of equivalent atoms:
Ho 0.0000 0.3055 0.1878 x24
Ni 0.0000 0.1235 0.5000 x12
Pb 0.0000 0.0000 0.0000 x2

=====

(8)
Starting from a DFT-relaxed cell (GGA-PBE, the Materials Project), the X-ray powder pattern of Ho2Ni2Pb was calculated for CuKα.

Peak list (6 most intense, 10° ≤ 2θ ≤ 90°, in order of rising 2θ)
hkl 1 3 0, 2θ = 29.53°, intensity 52; hkl 1 1 1, 2θ = 33.83°, intensity 100; hkl 0 4 1, 2θ = 34.86°, intensity 68; hkl 1 5 0, 2θ = 39.04°, intensity 31; hkl 2 0 0, 2θ = 46.33°, intensity 34; hkl 2 4 1, 2θ = 59.27°, intensity 30

Atomic structure:
Lattice parameters (Å, degrees): 3.9189 14.2735 3.7166 90.00 90.00 90.00
Space group Cmmm (No. 65)
One atom of each set of equivalent atoms:
Ho 0.0000 0.1406 0.0000 x4
Ni 0.0000 0.2992 0.5000 x4
Pb 0.0000 0.5000 0.5000 x2

=====

(9)
Starting from a DFT-relaxed cell (GGA-PBE, the Materials Project), the X-ray powder pattern of Ho2NiRu was calculated for CuKα.

Peak list (6 most intense, 10° ≤ 2θ ≤ 90°, in order of rising 2θ)
hkl 2 0 0, 2θ = 26.40°, intensity 12; hkl 2 2 0, 2θ = 37.68°, intensity 100; hkl 4 0 0, 2θ = 54.34°, intensity 17; hkl 4 2 0, 2θ = 61.40°, intensity 5; hkl 4 2 2, 2θ = 68.01°, intensity 35; hkl 4 4 0, 2θ = 80.45°, intensity 11

Atomic structure:
Lattice parameters (Å, degrees): 6.7527 6.7527 6.7527 90.00 90.00 90.00
Space group Fm-3m (No. 225)
One atom of each set of equivalent atoms:
Ho 0.2500 0.2500 0.2500 x8
Ni 0.0000 0.0000 0.0000 x4
Ru 0.0000 0.0000 0.5000 x4

=====

(10)
Starting from a DFT-relaxed cell (GGA-PBE, the Materials Project), the X-ray powder pattern of Ho3Ni2Ru4 was calculated for CuKα.

Peak list (6 most intense, 10° ≤ 2θ ≤ 90°, in order of rising 2θ)
hkl 1 -1 0, 2θ = 34.02°, intensity 100; hkl 1 2 0, 2θ = 34.19°, intensity 68; hkl 1 -1 3, 2θ = 39.92°, intensity 62; hkl 2 1 3, 2θ = 40.05°, intensity 69; hkl 0 2 1, 2θ = 40.19°, intensity 57; hkl 0 1 5, 2θ = 40.45°, intensity 96

Atomic structure:
Lattice parameters (Å, degrees): 5.2382 5.2511 12.8384 89.75 88.88 60.38
Space group P-1 (No. 2)
One atom of each set of equivalent atoms:
Ho 0.0059 0.4969 0.1252 x2
Ho 0.3313 0.8395 0.2060 x2
Ho 0.3357 0.8296 0.4587 x2
Ni 0.1660 0.1675 0.6665 x2
Ni 0.5000 0.0000 0.0000 x1
Ni 0.5000 0.5000 0.0000 x1
Ru 0.0000 0.0000 0.0000 x1
Ru 0.0000 0.5000 0.5000 x1
Ru 0.1701 0.6659 0.6677 x2
Ru 0.3274 0.8374 0.8365 x2
Ru 0.3357 0.3336 0.3320 x2

=====

(11)
Starting from a DFT-relaxed cell (GGA-PBE, the Materials Project), the X-ray powder pattern of Ho2NiSb4 was calculated for CuKα.

Peak list (6 most intense, 10° ≤ 2θ ≤ 90°, in order of rising 2θ)
hkl 1 1 1, 2θ = 30.90°, intensity 47; hkl 1 1 2, 2θ = 35.30°, intensity 100; hkl 1 0 3, 2θ = 35.89°, intensity 51; hkl 2 0 0, 2θ = 41.91°, intensity 57; hkl 2 1 3, 2θ = 56.33°, intensity 27; hkl 3 1 2, 2θ = 72.27°, intensity 24

Atomic structure:
Lattice parameters (Å, degrees): 4.3111 4.3111 9.2195 90.00 90.00 90.00
Space group P-4m2 (No. 115)
One atom of each set of equivalent atoms:
Ho 0.0000 0.5000 0.2363 x2
Ni 0.0000 0.0000 0.0000 x1
Sb 0.0000 0.0000 0.5000 x1
Sb 0.0000 0.5000 0.8690 x2
Sb 0.5000 0.5000 0.5000 x1

=====

Repeat the fourth record exactly.
Starting from a DFT-relaxed cell (GGA-PBE, the Materials Project), the X-ray powder pattern of HoNi4P2 was calculated for CuKα.

Peak list (6 most intense, 10° ≤ 2θ ≤ 90°, in order of rising 2θ)
hkl 2 1 1, 2θ = 37.98°, intensity 100; hkl 3 1 0, 2θ = 40.50°, intensity 47; hkl 2 2 1, 2θ = 44.25°, intensity 22; hkl 3 1 1, 2θ = 48.06°, intensity 21; hkl 3 1 2, 2θ = 66.90°, intensity 20; hkl 5 0 1, 2θ = 72.00°, intensity 23

Atomic structure:
Lattice parameters (Å, degrees): 7.0437 7.0437 3.5942 90.00 90.00 90.00
Space group P4_2/mnm (No. 136)
One atom of each set of equivalent atoms:
Ho 0.0000 0.0000 0.0000 x2
Ni 0.0859 0.3375 0.5000 x8
P 0.2195 0.7805 0.5000 x4